This entry pairs a crystal structure of Pa3AlNi8 with its theoretical powder diffraction line list. Radiation: Cu Kα (weighted mean of Kα1 and Kα2). Structure: a structure optimized by DFT (GGA-PBE).
No peak broadening, texture or thermal motion is included.

Main lines, most intense first (2θ from 15° to 90°):
- 42.65 deg, I 100.0, hkl 1 1 2
- 38.95 deg, I 98.7, hkl 0 1 3
- 36.34 deg, I 65.9, hkl 1 1 0
- 43.68 deg, I 56.6, hkl 0 2 1
- 30.09 deg, I 41.7, hkl 1 0 2
- 67.12 deg, I 40.6, hkl 1 2 3
- 23.41 deg, I 36.0, hkl 1 0 1
- 72.34 deg, I 27.7, hkl 2 0 5

Structure:
Lattice parameters (Å, degrees): 4.9446 4.9446 8.2430 90.00 90.00 120.00
Space group P3m1 (No. 156)
Inequivalent atoms, fractional coordinates:
Pa  0.0000  0.0000  0.0000 (multiplicity 1)
Pa  0.0000  0.0000  0.3871 (multiplicity 1)
Pa  0.3333  0.6667  0.8646 (multiplicity 1)
Al  0.3333  0.6667  0.4901 (multiplicity 1)
Ni  0.0012  0.5006  0.1996 (multiplicity 3)
Ni  0.3358  0.1679  0.6875 (multiplicity 3)
Ni  0.6667  0.3333  0.4464 (multiplicity 1)
Ni  0.6667  0.3333  0.9518 (multiplicity 1)

=====

This entry pairs a crystal structure of Th6Rh5Au with its theoretical powder diffraction line list. Radiation: Cu Kα (weighted mean of Kα1 and Kα2). Structure: a structure optimized by DFT (GGA-PBE).
No peak broadening, texture or thermal motion is included.

Main lines, most intense first (2θ from 15° to 90°):
- 30.49 deg, I 100.0, hkl 2 0 -2
- 43.50 deg, I 37.4, hkl 2 0 2
- 43.82 deg, I 37.2, hkl 1 3 -3
- 54.36 deg, I 12.9, hkl 2 6 -2
- 63.45 deg, I 12.0, hkl 4 0 -4
- 72.20 deg, I 11.2, hkl 3 3 -5
- 71.77 deg, I 11.0, hkl 5 3 -3
- 80.37 deg, I 10.3, hkl 2 0 -6

Structure:
Lattice parameters (Å, degrees): 7.2225 12.3790 7.1674 90.00 109.26 90.00
Space group C2/m (No. 12)
Inequivalent atoms, fractional coordinates:
Th  0.2342  0.0000  0.2519 (multiplicity 4)
Th  0.2387  0.1741  0.7405 (multiplicity 8)
Rh  0.0000  0.0000  0.5000 (multiplicity 2)
Rh  0.0000  0.1685  0.0000 (multiplicity 4)
Rh  0.0000  0.3403  0.5000 (multiplicity 4)
Au  0.0000  0.5000  0.0000 (multiplicity 2)

=====

This entry pairs a crystal structure of ScCu2Sb2 with its theoretical powder diffraction line list. Radiation: Cu Kα (weighted mean of Kα1 and Kα2). Structure: a structure optimized by DFT (GGA-PBE).
No peak broadening, texture or thermal motion is included.

Main lines, most intense first (2θ from 15° to 90°):
- 42.44 deg, I 100.0, hkl 1 1 4
- 39.79 deg, I 77.8, hkl 1 0 5
- 24.44 deg, I 76.3, hkl 1 0 1
- 30.34 deg, I 74.3, hkl 1 0 3
- 36.01 deg, I 70.0, hkl 1 1 2
- 48.30 deg, I 56.9, hkl 2 0 0
- 64.30 deg, I 36.1, hkl 2 1 5
- 73.35 deg, I 25.7, hkl 2 0 8

Structure:
Lattice parameters (Å, degrees): 3.7687 3.7687 14.1728 90.00 90.00 90.00
Space group I4/mmm (No. 139)
Inequivalent atoms, fractional coordinates:
Sc  0.0000  0.0000  0.0000 (multiplicity 2)
Cu  0.0000  0.5000  0.2500 (multiplicity 4)
Sb  0.0000  0.0000  0.3860 (multiplicity 4)

=====

This entry pairs a crystal structure of Pr3Al12Ru4 with its theoretical powder diffraction line list. Radiation: Cu Kα (weighted mean of Kα1 and Kα2). Structure: a structure optimized by DFT (GGA-PBE).
No peak broadening, texture or thermal motion is included.

Main lines, most intense first (2θ from 15° to 90°):
- 29.54 deg, I 100.0, hkl 2 0 2
- 36.15 deg, I 90.9, hkl 2 0 3
- 40.53 deg, I 85.6, hkl 2 2 0
- 24.83 deg, I 52.2, hkl 2 0 1
- 55.95 deg, I 39.7, hkl 2 2 4
- 36.89 deg, I 37.7, hkl 0 0 4
- 35.90 deg, I 29.9, hkl 2 1 2
- 50.94 deg, I 19.1, hkl 4 0 2

Structure:
Lattice parameters (Å, degrees): 8.9039 8.9039 9.7458 90.00 90.00 120.00
Space group P6_3/mmc (No. 194)
Inequivalent atoms, fractional coordinates:
Pr  0.1926  0.3852  0.2500 (multiplicity 6)
Al  0.0000  0.0000  0.2500 (multiplicity 2)
Al  0.1258  0.5629  0.7500 (multiplicity 6)
Al  0.1627  0.3255  0.5751 (multiplicity 12)
Al  0.3333  0.6667  0.0079 (multiplicity 4)
Ru  0.0000  0.0000  0.0000 (multiplicity 2)
Ru  0.0000  0.5000  0.0000 (multiplicity 6)

=====

This entry pairs a crystal structure of Dy2NiSn6 with its theoretical powder diffraction line list. Radiation: Cu Kα (weighted mean of Kα1 and Kα2). Structure: a structure optimized by DFT (GGA-PBE).
No peak broadening, texture or thermal motion is included.

Main lines, most intense first (2θ from 15° to 90°):
- 34.93 deg, I 100.0, hkl 1 5 1
- 31.06 deg, I 62.7, hkl 1 3 1
- 41.30 deg, I 37.2, hkl 2 0 0
- 31.46 deg, I 31.8, hkl 0 8 0
- 40.71 deg, I 29.3, hkl 0 0 2
- 59.38 deg, I 25.9, hkl 2 0 2
- 52.34 deg, I 15.7, hkl 0 8 2
- 52.83 deg, I 15.3, hkl 2 8 0

Structure:
Lattice parameters (Å, degrees): 4.3711 22.7481 4.4329 90.00 90.00 90.00
Space group Cmmm (No. 65)
Inequivalent atoms, fractional coordinates:
Dy  0.0000  0.1779  0.0000 (multiplicity 4)
Ni  0.0000  0.5000  0.5000 (multiplicity 2)
Sn  0.0000  0.0706  0.5000 (multiplicity 4)
Sn  0.0000  0.2948  0.5000 (multiplicity 4)
Sn  0.0000  0.4307  0.0000 (multiplicity 4)

=====

This entry pairs a crystal structure of La3Tb2Er4 with its theoretical powder diffraction line list. Radiation: Cu Kα (weighted mean of Kα1 and Kα2). Structure: a structure optimized by DFT (GGA-PBE).
No peak broadening, texture or thermal motion is included.

Main lines, most intense first (2θ from 15° to 90°):
- 31.85 deg, I 100.0, hkl 4 2 1
- 29.98 deg, I 57.9, hkl 1 1 -2
- 30.36 deg, I 57.4, hkl 5 1 -1
- 30.23 deg, I 56.5, hkl 0 4 0
- 37.04 deg, I 34.1, hkl 1 3 -2
- 37.36 deg, I 31.1, hkl 5 3 -1
- 54.93 deg, I 21.1, hkl 6 2 -3
- 54.73 deg, I 20.7, hkl 4 6 1

Structure:
Lattice parameters (Å, degrees): 16.3823 11.8245 6.1706 90.00 97.58 90.00
Space group C2/c (No. 15)
Inequivalent atoms, fractional coordinates:
La  0.0000  0.1271  0.2500 (multiplicity 4)
La  0.1641  0.3633  0.0880 (multiplicity 8)
Tb  0.1124  0.1274  0.7954 (multiplicity 8)
Er  0.0560  0.3793  0.5372 (multiplicity 8)
Er  0.2259  0.1203  0.3651 (multiplicity 8)

=====

This entry pairs a crystal structure of LaNd2DySc with its theoretical powder diffraction line list. Radiation: Cu Kα (weighted mean of Kα1 and Kα2). Structure: a structure optimized by DFT (GGA-PBE).
No peak broadening, texture or thermal motion is included.

Main lines, most intense first (2θ from 15° to 90°):
- 33.11 deg, I 100.0, hkl 2 1 1
- 32.07 deg, I 77.0, hkl 1 2 -1
- 28.39 deg, I 71.2, hkl 1 0 -2
- 25.23 deg, I 45.1, hkl 2 1 0
- 25.40 deg, I 44.2, hkl 2 1 -1
- 30.11 deg, I 43.9, hkl 1 2 0
- 38.40 deg, I 27.2, hkl 3 1 -2
- 38.27 deg, I 27.2, hkl 1 1 2

Structure:
Lattice parameters (Å, degrees): 9.0548 6.3350 6.2884 90.00 110.10 90.00
Space group P2/c (No. 13)
Inequivalent atoms, fractional coordinates:
La  0.0000  0.0000  0.0000 (multiplicity 2)
Nd  0.3131  0.3201  0.1573 (multiplicity 4)
Dy  0.5000  0.1612  0.7500 (multiplicity 2)
Sc  0.0000  0.4985  0.7500 (multiplicity 2)

=====

This entry pairs a crystal structure of PrHo3Se4 with its theoretical powder diffraction line list. Radiation: Cu Kα (weighted mean of Kα1 and Kα2). Structure: a structure optimized by DFT (GGA-PBE).
No peak broadening, texture or thermal motion is included.

Main lines, most intense first (2θ from 15° to 90°):
- 30.77 deg, I 100.0, hkl 2 0 1
- 44.06 deg, I 49.4, hkl 2 4 1
- 72.75 deg, I 22.0, hkl 4 4 2
- 54.07 deg, I 13.3, hkl 4 4 0
- 43.33 deg, I 12.8, hkl 4 0 0
- 55.34 deg, I 12.6, hkl 0 4 2
- 64.09 deg, I 12.0, hkl 4 0 2
- 44.82 deg, I 11.8, hkl 0 0 2

Structure:
Lattice parameters (Å, degrees): 8.3524 11.6309 4.0442 90.00 90.00 90.00
Space group Cmmm (No. 65)
Inequivalent atoms, fractional coordinates:
Pr  0.0000  0.0000  0.0000 (multiplicity 2)
Ho  0.0000  0.5000  0.0000 (multiplicity 2)
Ho  0.2500  0.2500  0.5000 (multiplicity 4)
Se  0.0000  0.2562  0.0000 (multiplicity 4)
Se  0.2375  0.5000  0.5000 (multiplicity 4)

=====

This entry pairs a crystal structure of K2PmTlS4 with its theoretical powder diffraction line list. Radiation: Cu Kα (weighted mean of Kα1 and Kα2). Structure: a structure optimized by DFT (GGA-PBE).
No peak broadening, texture or thermal motion is included.

Main lines, most intense first (2θ from 15° to 90°):
- 29.33 deg, I 100.0, hkl 0 4 0
- 42.70 deg, I 98.4, hkl 4 4 -2
- 29.77 deg, I 94.9, hkl 0 0 2
- 30.30 deg, I 88.7, hkl 4 0 -2
- 25.63 deg, I 78.8, hkl 2 2 0
- 25.84 deg, I 76.4, hkl 2 2 -2
- 42.28 deg, I 69.3, hkl 0 4 2
- 24.33 deg, I 36.5, hkl 1 3 0

Structure:
Lattice parameters (Å, degrees): 11.7992 12.1804 8.3690 90.00 134.17 90.00
Space group C2/c (No. 15)
Inequivalent atoms, fractional coordinates:
K  0.0000  0.0000  0.0000 (multiplicity 4)
K  0.2500  0.2500  0.0000 (multiplicity 4)
Pm  0.2500  0.2500  0.5000 (multiplicity 4)
Tl  0.0000  0.5000  0.0000 (multiplicity 4)
S  0.0024  0.2575  0.0286 (multiplicity 8)
S  0.2162  0.4886  0.4758 (multiplicity 8)